# 1
Starting from a structure optimized by DFT (PBE), the powder diffractogram of K3InI4 was calculated for Cu Ka.
Kinematic intensities with the Lorentz-polarization factor, no thermal factor.

Principal peaks in the range 10 to 80 degrees two-theta, low angle first:
- (2 1 0), 5.247 Å, 2θ = 16.9°, rel. 66
- (0 2 0), 5.240 Å, 2θ = 16.9°, rel. 33
- (0 2 1), 4.210 Å, 2θ = 21.1°, rel. 41
- (0 0 2), 3.530 Å, 2θ = 25.2°, rel. 49
- (4 0 0), 3.028 Å, 2θ = 29.5°, rel. 100
- (0 2 2), 2.929 Å, 2θ = 30.5°, rel. 45
- (4 0 2), 2.298 Å, 2θ = 39.2°, rel. 90
- (6 3 0), 1.748 Å, 2θ = 52.3°, rel. 19
- (6 3 2), 1.567 Å, 2θ = 59.0°, rel. 26
- (4 0 4), 1.525 Å, 2θ = 60.7°, rel. 24

Atomic structure:
```
data_K3InI4
_symmetry_space_group_name_H-M 'P m n 21'
_symmetry_Int_Tables_number 31
_symmetry_space_group_name_Hall 'P 2ac -2'
_cell_length_a 12.1215
_cell_length_b 10.4800
_cell_length_c 7.0606
_cell_angle_alpha 90.00
_cell_angle_beta 90.00
_cell_angle_gamma 90.00
loop_
_atom_site_label
_atom_site_type_symbol
_atom_site_fract_x
_atom_site_fract_y
_atom_site_fract_z
K1 K 0.0000 0.1642 0.9999
K2 K 0.2503 0.3323 0.5000
In1 In 0.0000 0.8320 0.4989
I1 I 0.0000 0.1628 0.5001
I2 I 0.0000 0.8320 0.9985
I3 I 0.2488 0.6677 0.5000
```

---

# 2
Starting from a structure optimized by DFT (PBE), the powder diffractogram of KInI was calculated for Cu Ka.
Kinematic intensities with the Lorentz-polarization factor, no thermal factor.

Principal peaks in the range 10 to 80 degrees two-theta, low angle first:
- (0 1 1), 4.416 Å, 2θ = 20.1°, rel. 26
- (0 0 3), 3.655 Å, 2θ = 24.3°, rel. 100
- (1 1 0), 3.411 Å, 2θ = 26.1°, rel. 85
- (1 -1 0), 3.356 Å, 2θ = 26.6°, rel. 82
- (1 1 3), 2.528 Å, 2θ = 35.5°, rel. 36
- (1 -1 3), 2.483 Å, 2θ = 36.2°, rel. 35
- (1 1 -3), 2.461 Å, 2θ = 36.5°, rel. 68
- (0 2 0), 2.405 Å, 2θ = 37.4°, rel. 37
- (2 0 0), 2.379 Å, 2θ = 37.8°, rel. 31
- (0 2 3), 2.019 Å, 2θ = 44.9°, rel. 37

Atomic structure:
```
data_KInI
_symmetry_space_group_name_H-M 'P -1'
_symmetry_Int_Tables_number 2
_symmetry_space_group_name_Hall '-P 1'
_cell_length_a 4.7593
_cell_length_b 4.8131
_cell_length_c 10.9707
_cell_angle_alpha 89.29
_cell_angle_beta 88.56
_cell_angle_gamma 89.04
loop_
_atom_site_label
_atom_site_type_symbol
_atom_site_fract_x
_atom_site_fract_y
_atom_site_fract_z
K1 K 0.2361 0.2440 0.1685
In1 In 0.2535 0.2522 0.5136
I1 I 0.2629 0.2555 0.8350
```

---

# 3
Starting from a structure optimized by DFT (PBE), the powder diffractogram of KInI2 was calculated for Cu Ka.
Kinematic intensities with the Lorentz-polarization factor, no thermal factor.

Principal peaks in the range 10 to 80 degrees two-theta, low angle first:
- (0 0 1), 8.242 Å, 2θ = 10.7°, rel. 8
- (1 1 1), 3.555 Å, 2θ = 25.0°, rel. 100
- (2 0 2), 2.519 Å, 2θ = 35.6°, rel. 39
- (0 2 0), 2.509 Å, 2θ = 35.8°, rel. 39
- (4 0 0), 2.050 Å, 2θ = 44.2°, rel. 21
- (2 2 2), 1.778 Å, 2θ = 51.4°, rel. 13
- (3 1 3), 1.592 Å, 2θ = 57.9°, rel. 18
- (4 2 0), 1.587 Å, 2θ = 58.1°, rel. 18
- (5 1 1), 1.451 Å, 2θ = 64.2°, rel. 9
- (6 0 -2), 1.449 Å, 2θ = 64.3°, rel. 11

Atomic structure:
```
data_KInI2
_symmetry_space_group_name_H-M 'C 1 2/m 1'
_symmetry_Int_Tables_number 12
_symmetry_space_group_name_Hall '-C 2y'
_cell_length_a 8.6985
_cell_length_b 5.0140
_cell_length_c 8.7334
_cell_angle_alpha 90.00
_cell_angle_beta 109.32
_cell_angle_gamma 90.00
loop_
_atom_site_label
_atom_site_type_symbol
_atom_site_fract_x
_atom_site_fract_y
_atom_site_fract_z
K1 K 0.0000 0.0000 0.0000
In1 In 0.0000 0.5000 0.5000
I1 I 0.2490 0.0000 0.7481
```

---

# 4
Starting from a structure optimized by DFT (PBE), the powder diffractogram of KIn2I was calculated for Cu Ka.
Kinematic intensities with the Lorentz-polarization factor, no thermal factor.

Principal peaks in the range 10 to 80 degrees two-theta, low angle first:
- (1 0 1), 5.507 Å, 2θ = 16.1°, rel. 20
- (2 2 0), 3.475 Å, 2θ = 25.6°, rel. 100
- (1 1 2), 2.999 Å, 2θ = 29.8°, rel. 71
- (4 0 0), 2.457 Å, 2θ = 36.6°, rel. 38
- (3 1 2), 2.270 Å, 2θ = 39.7°, rel. 62
- (3 3 2), 1.901 Å, 2θ = 47.9°, rel. 17
- (5 1 2), 1.668 Å, 2θ = 55.1°, rel. 21
- (2 0 4), 1.575 Å, 2θ = 58.6°, rel. 19
- (6 2 0), 1.554 Å, 2θ = 59.5°, rel. 16
- (4 2 4), 1.326 Å, 2θ = 71.1°, rel. 20

Atomic structure:
```
data_KIn2I
_symmetry_space_group_name_H-M 'I -4 2 d'
_symmetry_Int_Tables_number 122
_symmetry_space_group_name_Hall 'I -4 2bw'
_cell_length_a 9.8284
_cell_length_b 9.8284
_cell_length_c 6.6492
_cell_angle_alpha 90.00
_cell_angle_beta 90.00
_cell_angle_gamma 90.00
loop_
_atom_site_label
_atom_site_type_symbol
_atom_site_fract_x
_atom_site_fract_y
_atom_site_fract_z
K1 K 0.0000 0.0000 0.0000
In1 In 0.2309 0.2500 0.6250
I1 I 0.0000 0.0000 0.5000
```

---

# 5
Starting from a structure optimized by DFT (PBE), the powder diffractogram of KInI4 was calculated for Cu Ka.
Kinematic intensities with the Lorentz-polarization factor, no thermal factor.

Principal peaks in the range 10 to 80 degrees two-theta, low angle first:
- (1 1 -2), 5.816 Å, 2θ = 15.2°, rel. 66
- (1 2 -1), 4.916 Å, 2θ = 18.0°, rel. 89
- (1 1 1), 4.861 Å, 2θ = 18.2°, rel. 66
- (1 2 -2), 4.403 Å, 2θ = 20.2°, rel. 100
- (2 0 0), 3.911 Å, 2θ = 22.7°, rel. 78
- (0 1 3), 3.720 Å, 2θ = 23.9°, rel. 63
- (1 3 -1), 3.584 Å, 2θ = 24.8°, rel. 61
- (1 3 0), 3.489 Å, 2θ = 25.5°, rel. 85
- (2 1 -4), 3.217 Å, 2θ = 27.7°, rel. 80
- (2 2 1), 2.832 Å, 2θ = 31.6°, rel. 68

Atomic structure:
```
data_KInI4
_symmetry_space_group_name_H-M 'P 1 21/c 1'
_symmetry_Int_Tables_number 14
_symmetry_space_group_name_Hall '-P 2ybc'
_cell_length_a 9.2031
_cell_length_b 11.6925
_cell_length_c 13.8478
_cell_angle_alpha 90.00
_cell_angle_beta 121.79
_cell_angle_gamma 90.00
loop_
_atom_site_label
_atom_site_type_symbol
_atom_site_fract_x
_atom_site_fract_y
_atom_site_fract_z
K1 K 0.1949 0.1833 0.3313
In1 In 0.3476 0.6794 0.2189
I1 I 0.1448 0.6281 0.6638
I2 I 0.2026 0.5215 0.2916
I3 I 0.3132 0.2210 0.1173
I4 I 0.3492 0.6148 0.0272
```

---

# 6
Starting from a structure optimized by DFT (PBE), the powder diffractogram of KMgIn2I8 was calculated for Cu Ka.
Kinematic intensities with the Lorentz-polarization factor, no thermal factor.

Principal peaks in the range 10 to 80 degrees two-theta, low angle first:
- (0 1 2), 6.043 Å, 2θ = 14.7°, rel. 27
- (0 0 9), 3.778 Å, 2θ = 23.5°, rel. 93
- (1 1 0), 3.733 Å, 2θ = 23.8°, rel. 94
- (1 1 3), 3.546 Å, 2θ = 25.1°, rel. 100
- (2 0 2), 3.176 Å, 2θ = 28.1°, rel. 51
- (1 1 6), 3.117 Å, 2θ = 28.6°, rel. 59
- (1 1 9), 2.655 Å, 2θ = 33.8°, rel. 67
- (1 1 12), 2.257 Å, 2θ = 39.9°, rel. 52
- (3 0 0), 2.155 Å, 2θ = 41.9°, rel. 67
- (0 3 9), 1.872 Å, 2θ = 48.6°, rel. 54

Atomic structure:
```
data_KMgIn2I8
_symmetry_space_group_name_H-M 'R 3 2'
_symmetry_Int_Tables_number 155
_symmetry_space_group_name_Hall 'R 3 2"'
_cell_length_a 7.4661
_cell_length_b 7.4661
_cell_length_c 34.0012
_cell_angle_alpha 90.00
_cell_angle_beta 90.00
_cell_angle_gamma 120.00
loop_
_atom_site_label
_atom_site_type_symbol
_atom_site_fract_x
_atom_site_fract_y
_atom_site_fract_z
K1 K 0.0000 0.0000 0.0000
Mg1 Mg 0.0000 0.0000 0.5000
In1 In 0.0000 0.0000 0.2445
I1 I 0.0000 0.0000 0.3273
I2 I 0.0072 0.3817 0.2245
```